Computed powder diffraction line list of Ho3Ge2Pt6 for Cu Kα (λ = 1.5418 Å), from a cell relaxed with GGA-PBE.

Main lines, low angle first (2θ from 5° to 70°):
| d_spacing | I/Imax |
| --- | --- |
| 6.704 | 23 |
| 3.352 | 10 |
| 2.998 | 14 |
| 2.534 | 30 |
| 2.370 | 13 |
| 2.235 | 100 |
| 2.120 | 8 |
| 1.580 | 12 |
| 1.538 | 17 |
| 1.429 | 10 |

Crystal structure
```
data_Ho3Ge2Pt6
_cell_length_a 8.2104
_cell_length_b 8.2104
_cell_length_c 8.2104
_cell_angle_alpha 109.47
_cell_angle_beta 109.47
_cell_angle_gamma 109.47
_symmetry_space_group_name_H-M 'P 1'
_symmetry_Int_Tables_number 1
_symmetry_space_group_name_Hall 'P 1'
loop_
_atom_site_label
_atom_site_type_symbol
_atom_site_fract_x
_atom_site_fract_y
_atom_site_fract_z
Ho1 Ho 0.0000 0.2932 0.2932
Ho2 Ho 0.0000 0.7068 0.7068
Ho3 Ho 0.2932 0.0000 0.2932
Ho4 Ho 0.2932 0.2932 0.0000
Ho5 Ho 0.7068 0.0000 0.7068
Ho6 Ho 0.7068 0.7068 0.0000
Ge1 Ge 0.0000 0.0000 0.5000
Ge2 Ge 0.0000 0.5000 0.0000
Ge3 Ge 0.5000 0.0000 0.0000
Ge4 Ge 0.5000 0.5000 0.5000
Pt1 Pt 0.0000 0.3243 0.6757
Pt2 Pt 0.0000 0.6757 0.3243
Pt3 Pt 0.3243 0.0000 0.6757
Pt4 Pt 0.3243 0.3243 0.6486
Pt5 Pt 0.3243 0.6486 0.3243
Pt6 Pt 0.3243 0.6757 0.0000
Pt7 Pt 0.3514 0.6757 0.6757
Pt8 Pt 0.6486 0.3243 0.3243
Pt9 Pt 0.6757 0.0000 0.3243
Pt10 Pt 0.6757 0.3243 0.0000
Pt11 Pt 0.6757 0.3514 0.6757
Pt12 Pt 0.6757 0.6757 0.3514
```